This entry pairs a crystal structure of Mn3CoSn2P6O24 with its calculated powder diffraction line list. Radiation: Cu Kα (λ = 1.5418 Å). Structure: a PBE+U-relaxed structure.

Atomic structure:
Cell lengths 8.5853, 8.5853, 8.5853 Å; angles 61.49, 61.49, 61.49 degrees
Fractional positions:
Mn (0.0000, 0.0000, 0.0000)
Mn (0.1978, 0.1978, 0.1978)
Mn (0.4992, 0.4992, 0.4992)
Co (0.6984, 0.6984, 0.6984)
Sn (0.3496, 0.3496, 0.3496)
Sn (0.8486, 0.8486, 0.8486)
P (0.0982, 0.7956, 0.4028)
P (0.3023, 0.6010, 0.8977)
P (0.4028, 0.0982, 0.7956)
P (0.6010, 0.8977, 0.3023)
P (0.7956, 0.4028, 0.0982)
P (0.8977, 0.3023, 0.6010)
O (0.0295, 0.8316, 0.2525)
O (0.0988, 0.7536, 0.9150)
O (0.0998, 0.2889, 0.4510)
O (0.1688, 0.9415, 0.3715)
O (0.2505, 0.5928, 0.4217)
O (0.2525, 0.0295, 0.8316)
O (0.2889, 0.4510, 0.0998)
O (0.3368, 0.5255, 0.7537)
O (0.3715, 0.1688, 0.9415)
O (0.4217, 0.2505, 0.5928)
O (0.4510, 0.0998, 0.2889)
O (0.4544, 0.6764, 0.8511)
O (0.5255, 0.7537, 0.3368)
O (0.5928, 0.4217, 0.2505)
O (0.6043, 0.9402, 0.7772)
O (0.6764, 0.8511, 0.4544)
O (0.7537, 0.3368, 0.5255)
O (0.7536, 0.9150, 0.0988)
O (0.7772, 0.6043, 0.9402)
O (0.8316, 0.2525, 0.0295)
O (0.8511, 0.4544, 0.6764)
O (0.9150, 0.0988, 0.7536)
O (0.9402, 0.7772, 0.6043)
O (0.9415, 0.3715, 0.1688)

Top 8 peaks for 5° ≤ 2θ ≤ 70°, sorted by position:
- 14.43°, I 29
- 20.23°, I 100
- 24.00°, I 65
- 24.94°, I 27
- 32.93°, I 93
- 35.42°, I 48
- 49.14°, I 38
- 62.02°, I 33